For LiHg3OsO4, the PBE geometry in OQMD gives the theoretical X-ray powder pattern in this record (Cu Kα (weighted mean of Kα1 and Kα2)).
No peak broadening, texture or thermal motion is included.

Peak list (6 most intense, 15 to 90 degrees two-theta, most intense first)
hkl 1 0 0, d 5.430, intensity 100; hkl 2 2 0, d 1.920, intensity 70; hkl 2 0 0, d 2.715, intensity 68; hkl 2 1 0, d 2.428, intensity 56; hkl 1 1 1, d 3.135, intensity 45; hkl 3 0 0, d 1.810, intensity 29

Structural model:
Unit cell a=5.4296 b=5.4296 c=5.4296 alpha=90.00 beta=90.00 gamma=90.00
Space group P-43m (No. 215)
Symmetry-distinct sites (fractional):
Li1 0.0000 0.0000 0.0000 [1 per cell]
Hg1 0.0000 0.5000 0.5000 [3 per cell]
Os1 0.5000 0.5000 0.5000 [1 per cell]
O1 0.2470 0.2470 0.2470 [4 per cell]